Structure and computed XRD peak list of GaFeCl6 (a cell relaxed with GGA-PBE; CuKα).
Lines closer than 0.1° are merged.

Structure:
Cell lengths 12.0124, 6.9442, 7.0780 Å; angles 90.00, 125.32, 90.00 degrees
Atoms (fractional coordinates):
Ga: 0.0000 0.0000 0.0000
Ga: 0.5000 0.5000 0.0000
Fe: 0.1869 0.5000 0.5453
Fe: 0.6869 0.0000 0.5453
Cl: 0.0199 0.5000 0.5731
Cl: 0.0353 0.0000 0.3329
Cl: 0.1501 0.5000 0.2107
Cl: 0.1657 0.0000 0.9693
Cl: 0.3454 0.2606 0.7759
Cl: 0.3454 0.7394 0.7759
Cl: 0.5199 0.0000 0.5731
Cl: 0.5353 0.5000 0.3329
Cl: 0.6501 0.0000 0.2107
Cl: 0.6657 0.5000 0.9693
Cl: 0.8454 0.2394 0.7759
Cl: 0.8454 0.7606 0.7759

Principal peaks in the range 2θ from 10° to 80°, in order of rising 2θ:
2theta	d_spacing	Rel. int.	hkl
15.6	5.690	100	2 0 -1
17.9	4.957	69	1 1 -1
25.2	3.539	22	2 0 -2
25.4	3.502	51	1 1 1
25.7	3.471	55	0 2 0
30.2	2.956	16	3 1 0
31.6	2.833	51	2 2 0
39.4	2.285	26	4 0 -3
40.6	2.220	21	0 2 2
41.3	2.188	27	5 1 -1
52.8	1.735	21	0 4 0
56.3	1.634	19	6 0 0


Structure and computed XRD peak list of TbFeSi2Tc (a cell relaxed with GGA-PBE; CuKα).
Lines closer than 0.1° are merged.

Structure:
Cell lengths 4.0615, 4.0615, 9.7992 Å; angles 90.00, 90.00, 90.00 degrees
Atoms (fractional coordinates):
Tb: 0.0000 0.0000 0.0000
Tb: 0.5000 0.5000 0.5000
Fe: 0.0000 0.5000 0.2500
Fe: 0.5000 0.0000 0.7500
Si: 0.0000 0.0000 0.3717
Si: 0.0000 0.0000 0.6283
Si: 0.5000 0.5000 0.1283
Si: 0.5000 0.5000 0.8717
Tc: 0.0000 0.5000 0.7500
Tc: 0.5000 0.0000 0.2500

Principal peaks in the range 2θ from 10° to 80°, in order of rising 2θ:
2theta	d_spacing	Rel. int.	hkl
23.7	3.752	45	1 0 1
35.3	2.545	46	1 0 3
36.3	2.478	100	1 1 2
36.7	2.450	17	0 0 4
44.6	2.031	39	2 0 0
51.1	1.786	12	2 1 1
51.8	1.765	14	1 0 5
58.1	1.587	21	2 1 3
59.1	1.563	16	2 0 4
64.9	1.436	12	2 2 0
65.8	1.420	18	1 1 6
76.7	1.242	21	3 1 2


Structure and computed XRD peak list of Er3Co11B4 (a cell relaxed with GGA-PBE; CuKα).
Lines closer than 0.1° are merged.

Structure:
Cell lengths 4.9963, 4.9963, 9.7523 Å; angles 90.00, 90.00, 120.00 degrees
Atoms (fractional coordinates):
Er: 0.0000 0.0000 0.0000
Er: 0.0000 0.0000 0.3417
Er: 0.0000 0.0000 0.6583
Co: 0.0000 0.5000 0.2018
Co: 0.0000 0.5000 0.5000
Co: 0.0000 0.5000 0.7982
Co: 0.3333 0.6667 0.0000
Co: 0.5000 0.0000 0.2018
Co: 0.5000 0.0000 0.5000
Co: 0.5000 0.0000 0.7982
Co: 0.5000 0.5000 0.2018
Co: 0.5000 0.5000 0.5000
Co: 0.5000 0.5000 0.7982
Co: 0.6667 0.3333 0.0000
B: 0.3333 0.6667 0.3494
B: 0.3333 0.6667 0.6506
B: 0.6667 0.3333 0.3494
B: 0.6667 0.3333 0.6506

Principal peaks in the range 2θ from 10° to 80°, in order of rising 2θ:
2theta	d_spacing	Rel. int.	hkl
20.5	4.327	27	1 0 0
34.5	2.599	100	1 0 3
35.9	2.498	29	1 1 0
41.8	2.163	85	2 0 0
42.6	2.124	8	1 0 4
45.8	1.981	91	1 1 3
56.6	1.625	10	0 0 6
63.7	1.461	34	2 1 3
68.9	1.362	12	1 1 6
71.6	1.318	22	3 0 3
72.8	1.300	16	2 0 6
76.2	1.249	20	2 2 0